Sr5Al2F16: simulated XRD peak list (Cu Kα, 1.54184 Å), based on a PBE-relaxed structure.
Intensities are scaled so that the largest is 100.

Largest 10 diffraction maxima, by angle, 15 to 90 degrees two-theta:
2θ 23.15, I 55; 2θ 27.45, I 100; 2θ 28.30, I 36; 2θ 28.72, I 62; 2θ 34.50, I 40; 2θ 39.71, I 24; 2θ 45.20, I 63; 2θ 49.58, I 26; 2θ 51.18, I 28; 2θ 56.89, I 29

Crystal structure
Cell: 7.3591 7.3591 14.2862 Å, 90.00 90.00 117.97°
Positions (direct):
Sr 0.2500 0.2500 0.1231
Sr 0.2500 0.2500 0.6231
Sr 0.2500 0.7500 0.2500
Sr 0.2500 0.7500 0.5320
Sr 0.2500 0.7500 0.9680
Sr 0.7500 0.2500 0.0320
Sr 0.7500 0.2500 0.4680
Sr 0.7500 0.2500 0.7500
Sr 0.7500 0.7500 0.3769
Sr 0.7500 0.7500 0.8769
Al 0.2500 0.2500 0.3717
Al 0.2500 0.2500 0.8717
Al 0.7500 0.7500 0.1283
Al 0.7500 0.7500 0.6283
F 0.0073 0.6135 0.3964
F 0.0341 0.8679 0.6277
F 0.0689 0.2315 0.9628
F 0.0806 0.2496 0.7798
F 0.1135 0.5073 0.1036
F 0.1321 0.9659 0.8723
F 0.2315 0.0689 0.4628
F 0.2496 0.0806 0.2798
F 0.2504 0.4194 0.2798
F 0.2685 0.4311 0.4628
F 0.3679 0.5341 0.8723
F 0.3865 0.9927 0.1036
F 0.4194 0.2504 0.7798
F 0.4311 0.2685 0.9628
F 0.4659 0.6321 0.6277
F 0.4927 0.8865 0.3964
F 0.5073 0.1135 0.6036
F 0.5341 0.3679 0.3723
F 0.5689 0.7315 0.0372
F 0.5806 0.7496 0.2202
F 0.6135 0.0073 0.8964
F 0.6321 0.4659 0.1277
F 0.7315 0.5689 0.5372
F 0.7496 0.5806 0.7202
F 0.7504 0.9194 0.7202
F 0.7685 0.9311 0.5372
F 0.8679 0.0341 0.1277
F 0.8865 0.4927 0.8964
F 0.9194 0.7504 0.2202
F 0.9311 0.7685 0.0372
F 0.9659 0.1321 0.3723
F 0.9927 0.3865 0.6036

SrAlTl2F6: simulated XRD peak list (Cu Kα, 1.54184 Å), based on a PBE-relaxed structure.
Intensities are scaled so that the largest is 100.

Largest 10 diffraction maxima, by angle, 15 to 90 degrees two-theta:
2θ 20.22, I 27; 2θ 28.75, I 100; 2θ 35.41, I 25; 2θ 41.04, I 10; 2θ 41.15, I 21; 2θ 46.21, I 13; 2θ 50.91, I 27; 2θ 51.01, I 13; 2θ 59.52, I 16; 2θ 82.07, I 15

Crystal structure
Cell: 6.2124 6.2124 6.2124 Å, 120.16 120.01 89.86°
Positions (direct):
Sr 0.0000 0.0000 0.0000
Al 0.5000 0.5000 0.0000
Tl 0.2498 0.7498 0.5000
Tl 0.7502 0.2502 0.5000
F 0.2877 0.2870 0.5747
F 0.2883 0.2883 0.0000
F 0.2877 0.7130 0.0007
F 0.7123 0.2870 0.9993
F 0.7117 0.7117 0.0000
F 0.7123 0.7130 0.4253

SrAlTlF6: simulated XRD peak list (Cu Kα, 1.54184 Å), based on a PBE-relaxed structure.
Intensities are scaled so that the largest is 100.

Largest 10 diffraction maxima, by angle, 15 to 90 degrees two-theta:
2θ 24.17, I 98; 2θ 26.54, I 100; 2θ 28.06, I 46; 2θ 29.02, I 36; 2θ 38.12, I 37; 2θ 39.71, I 33; 2θ 42.52, I 32; 2θ 42.99, I 24; 2θ 44.01, I 30; 2θ 49.51, I 47

Crystal structure
Cell: 7.4177 7.4177 7.4177 Å, 120.49 113.30 95.58°
Positions (direct):
Sr 0.0000 0.0000 0.0000
Sr 0.5000 0.0000 0.5000
Al 0.5000 0.0000 0.0000
Al 0.5000 0.5000 0.5000
Tl 0.1534 0.4034 0.7500
Tl 0.8466 0.5966 0.2500
F 0.1239 0.8739 0.2500
F 0.2171 0.4025 0.3727
F 0.2171 0.8444 0.8145
F 0.4556 0.2056 0.2500
F 0.4701 0.1556 0.8727
F 0.4701 0.5975 0.3145
F 0.5299 0.4025 0.6855
F 0.5299 0.8444 0.1273
F 0.5444 0.7944 0.7500
F 0.7829 0.1556 0.1855
F 0.7829 0.5975 0.6273
F 0.8761 0.1261 0.7500

Ta3AlF: simulated XRD peak list (Cu Kα, 1.54184 Å), based on a PBE-relaxed structure.
Intensities are scaled so that the largest is 100.

Largest 10 diffraction maxima, by angle, 15 to 90 degrees two-theta:
2θ 20.59, I 31; 2θ 29.28, I 15; 2θ 36.06, I 100; 2θ 41.88, I 57; 2θ 47.11, I 14; 2θ 51.92, I 7; 2θ 60.72, I 38; 2θ 64.84, I 7; 2θ 72.70, I 40; 2θ 76.49, I 13

Crystal structure
Cell: 4.3140 4.3140 4.3140 Å, 90.00 90.00 90.00°
Positions (direct):
Ta 0.0000 0.0000 0.5000
Ta 0.0000 0.5000 0.0000
Ta 0.5000 0.0000 0.0000
Al 0.5000 0.5000 0.5000
F 0.0000 0.0000 0.0000

AlTeF6: simulated XRD peak list (Cu Kα, 1.54184 Å), based on a PBE-relaxed structure.
Intensities are scaled so that the largest is 100.

Largest 10 diffraction maxima, by angle, 15 to 90 degrees two-theta:
2θ 17.55, I 24; 2θ 20.07, I 50; 2θ 21.85, I 100; 2θ 23.11, I 86; 2θ 24.92, I 72; 2θ 28.52, I 36; 2θ 30.05, I 28; 2θ 37.27, I 37; 2θ 47.11, I 25; 2θ 48.04, I 24

Crystal structure
Cell: 5.0343 5.1543 5.4241 Å, 70.03 74.43 62.51°
Positions (direct):
Al 0.0000 0.0000 0.0000
Te 0.5000 0.5000 0.5000
F 0.0609 0.3195 0.8000
F 0.2873 0.9069 0.2145
F 0.3094 0.7641 0.7765
F 0.6906 0.2359 0.2235
F 0.7127 0.0931 0.7855
F 0.9391 0.6805 0.2000

AlTl2F: simulated XRD peak list (Cu Kα, 1.54184 Å), based on a PBE-relaxed structure.
Intensities are scaled so that the largest is 100.

Largest 9 diffraction maxima, by angle, 15 to 90 degrees two-theta:
2θ 25.22, I 76; 2θ 35.97, I 100; 2θ 44.44, I 24; 2θ 51.78, I 18; 2θ 58.44, I 32; 2θ 64.66, I 36; 2θ 76.27, I 11; 2θ 81.83, I 16; 2θ 87.32, I 17

Crystal structure
Cell: 4.9939 4.9939 4.9939 Å, 60.00 60.00 60.00°
Positions (direct):
Al 0.0000 0.0000 0.0000
Tl 0.2500 0.2500 0.2500
Tl 0.7500 0.7500 0.7500
F 0.5000 0.5000 0.5000

Repeat the second record exactly.
SrAlTl2F6: simulated XRD peak list (Cu Kα, 1.54184 Å), based on a PBE-relaxed structure.
Intensities are scaled so that the largest is 100.

Largest 10 diffraction maxima, by angle, 15 to 90 degrees two-theta:
2θ 20.22, I 27; 2θ 28.75, I 100; 2θ 35.41, I 25; 2θ 41.04, I 10; 2θ 41.15, I 21; 2θ 46.21, I 13; 2θ 50.91, I 27; 2θ 51.01, I 13; 2θ 59.52, I 16; 2θ 82.07, I 15

Crystal structure
Cell: 6.2124 6.2124 6.2124 Å, 120.16 120.01 89.86°
Positions (direct):
Sr 0.0000 0.0000 0.0000
Al 0.5000 0.5000 0.0000
Tl 0.2498 0.7498 0.5000
Tl 0.7502 0.2502 0.5000
F 0.2877 0.2870 0.5747
F 0.2883 0.2883 0.0000
F 0.2877 0.7130 0.0007
F 0.7123 0.2870 0.9993
F 0.7117 0.7117 0.0000
F 0.7123 0.7130 0.4253